Diffraction record for LiFeP3O9. The X-ray diffraction stick pattern is simulated, not measured: it uses a GGA+U-relaxed structure and a wavelength of 1.5418 Å.

Atomic structure:
```
LiFeP3O9
1.0
5.6360 -3.3986 0.0000
5.6360 3.3986 0.0000
-0.0205 0.0000 9.8319
Li Fe P O
2 2 6 18
Direct
0.1542 0.8458 0.5000
0.8458 0.1542 0.0000
0.6776 0.6835 0.0353
0.6835 0.6776 0.5353
0.0675 0.3775 0.7899
0.0694 0.5740 0.2840
0.3775 0.0675 0.2899
0.3883 0.5772 0.7786
0.5740 0.0694 0.7840
0.5772 0.3883 0.2786
0.1398 0.3055 0.2880
0.1549 0.5681 0.8133
0.3055 0.1398 0.7880
0.3111 0.5744 0.2617
0.3709 0.6885 0.6424
0.3755 0.9412 0.4174
0.4096 0.9520 0.1553
0.4442 0.6795 0.8995
0.5681 0.1549 0.3133
0.5744 0.3111 0.7617
0.6795 0.4442 0.3995
0.6819 0.9248 0.6613
0.6867 0.9802 0.9204
0.6885 0.3709 0.1424
0.9248 0.6819 0.1613
0.9412 0.3755 0.9174
0.9520 0.4096 0.6553
0.9802 0.6867 0.4204
```

Largest 10 diffraction maxima, low angle first, 2θ from 10° to 90°:
2θ (°)	I (rel.)
15.22	83.9
15.72	38.7
18.04	32.6
23.69	100.0
24.02	39.9
27.77	29.4
28.62	48.4
32.76	47.4
35.85	19.5
48.47	20.3